# RbCaLaI6
Computed powder diffraction line list, Cu Kα (weighted mean of Kα1 and Kα2). Input: the PBE geometry in Alexandria.

Largest 8 diffraction maxima, by angle, 5° ≤ 2θ ≤ 70°:
hkl 1 0 2, d 5.330, I = 24.3
hkl 1 1 2, d 3.655, I = 100.0
hkl 1 1 4, d 2.875, I = 57.7
hkl 2 1 2, d 2.547, I = 17.0
hkl 3 0 0, d 2.367, I = 33.3
hkl 2 -1 6, d 2.248, I = 26.2
hkl 4 -2 2, d 1.987, I = 13.3
hkl 3 0 8, d 1.535, I = 13.2

Unit cell a=8.1993 b=8.1993 c=16.1313 alpha=90.00 beta=90.00 gamma=120.00
Atoms (fractional coordinates):
Rb: 0.0000 0.0000 0.0000
Rb: 0.0000 0.0000 0.5000
Ca: 0.3333 0.6667 0.2500
Ca: 0.6667 0.3333 0.7500
La: 0.3333 0.6667 0.7500
La: 0.6667 0.3333 0.2500
I: 0.0026 0.3722 0.1366
I: 0.0026 0.6304 0.3634
I: 0.3696 0.3722 0.3634
I: 0.3696 0.9974 0.1366
I: 0.3722 0.0026 0.6366
I: 0.3722 0.3696 0.8634
I: 0.6278 0.6304 0.1366
I: 0.6278 0.9974 0.3634
I: 0.6304 0.0026 0.8634
I: 0.6304 0.6278 0.6366
I: 0.9974 0.3696 0.6366
I: 0.9974 0.6278 0.8634